Diffraction record for LiMnS2O8. The PXRD pattern is simulated, not measured: it uses the PBE+U geometry in Alexandria and Cu Ka.

Main lines, sorted by position (2θ from 10° to 90°):
2theta  I_rel  hkl
14.22  46  1 0 0
14.69  26  -1 1 1
19.81  24  0 1 1
23.90  100  1 1 0
24.48  42  -2 1 2
28.66  23  2 0 0

Unit cell a=8.3942 b=8.4043 c=9.0077 alpha=91.89 beta=116.62 gamma=118.95
Space group P1 (No. 1)
Asymmetric unit:
Li1 0.0000 0.0000 0.0000 (multiplicity 1)
Li2 0.0792 0.9216 0.6759 (multiplicity 1)
Li3 0.3019 0.7370 0.9910 (multiplicity 1)
Mn1 0.0640 0.4106 0.1766 (multiplicity 1)
Mn2 0.6594 0.2104 0.5617 (multiplicity 1)
Mn3 0.6929 0.7171 0.0995 (multiplicity 1)
S1 0.1474 0.3120 0.8712 (multiplicity 1)
S2 0.1886 0.1132 0.3854 (multiplicity 1)
S3 0.5753 0.8116 0.3741 (multiplicity 1)
S4 0.6009 0.0192 0.9000 (multiplicity 1)
S5 0.8611 0.6008 0.8740 (multiplicity 1)
S6 0.8789 0.5269 0.3792 (multiplicity 1)
O1 0.0028 0.6718 0.5469 (multiplicity 1)
O2 0.0302 0.9376 0.2243 (multiplicity 1)
O3 0.0333 0.5574 0.3221 (multiplicity 1)
O4 0.0388 0.5823 0.9995 (multiplicity 1)
O5 0.0901 0.2707 0.0126 (multiplicity 1)
O6 0.1332 0.2558 0.3549 (multiplicity 1)
O7 0.2025 0.1784 0.8476 (multiplicity 1)
O8 0.2042 0.0675 0.5422 (multiplicity 1)
O9 0.3238 0.5161 0.9320 (multiplicity 1)
O10 0.3898 0.6121 0.3200 (multiplicity 1)
O11 0.3914 0.9275 0.8821 (multiplicity 1)
O12 0.4010 0.1963 0.3950 (multiplicity 1)
O13 0.5145 0.9467 0.3976 (multiplicity 1)
O14 0.5958 0.0543 0.7409 (multiplicity 1)
O15 0.6019 0.8363 0.2159 (multiplicity 1)
O16 0.6834 0.8889 0.9423 (multiplicity 1)
O17 0.7050 0.5473 0.2403 (multiplicity 1)
O18 0.7154 0.5681 0.9386 (multiplicity 1)
O19 0.7273 0.4514 0.7013 (multiplicity 1)
O20 0.7521 0.2038 0.0513 (multiplicity 1)
O21 0.7647 0.3298 0.3822 (multiplicity 1)
O22 0.7686 0.8514 0.5254 (multiplicity 1)
O23 0.9589 0.2798 0.7072 (multiplicity 1)
O24 0.9605 0.7930 0.8569 (multiplicity 1)